The following is a theoretical PXRD pattern of V2CdWO8. It was derived from a PBE+U-relaxed structure, using a wavelength of 1.5418 Å.

Top 10 peaks for 2θ from 5° to 70°, by angle:
| 2θ (°) | I (rel.) | hkl |
| --- | --- | --- |
| 19.13 | 51 | 1 0 1 |
| 25.51 | 100 | 2 0 0 |
| 32.08 | 14 | 2 1 1 |
| 34.11 | 70 | 1 1 2 |
| 36.39 | 21 | 2 2 0 |
| 41.43 | 15 | 3 0 1 |
| 50.73 | 59 | 3 1 2 |
| 52.41 | 16 | 4 0 0 |
| 59.17 | 14 | 4 2 0 |
| 64.03 | 17 | 3 3 2 |

Cell and atoms:
```
data_V2CdWO8
_cell_length_a 6.983
_cell_length_b 6.983
_cell_length_c 6.210
_cell_angle_alpha 90.00
_cell_angle_beta 90.00
_cell_angle_gamma 90.00
_symmetry_space_group_name_H-M 'I -4 m 2'
_symmetry_Int_Tables_number 119
_symmetry_space_group_name_Hall 'I -4 -2'
loop_
_atom_site_label
_atom_site_type_symbol
_atom_site_fract_x
_atom_site_fract_y
_atom_site_fract_z
V1 V 0.000 0.000 0.000
V2 V 0.000 0.500 0.250
Cd1 Cd 0.000 0.000 0.500
W1 W 0.000 0.500 0.750
O1 O 0.000 0.203 0.838
O2 O 0.000 0.325 0.466
```